Entry 1:
The following is a calculated XRD peak list of RbSrSbO3. It was derived from the PBE geometry in Alexandria, using Cu Kα X-rays.
Neutral-atom scattering factors, no anomalous dispersion.

Cell and atoms:
```
RbSrSbO3
1.0
7.0820 0.0000 0.0000
0.0000 3.5551 0.0000
-2.0414 0.0000 11.1346
Rb Sr Sb O
2 2 2 6
Cartesian
1.0491 0.8888 2.5262 Rb
3.9916 2.6663 8.6084 Rb
0.7535 2.6663 9.8307 Sr
4.2871 0.8888 1.3039 Sr
0.3058 0.8888 6.6640 Sb
4.7349 2.6663 4.4706 Sb
-0.6409 0.8888 8.3316 O
1.3513 2.6663 7.0392 O
2.6698 2.6663 1.1083 O
2.3708 0.8888 10.0263 O
3.6893 0.8888 4.0954 O
5.6815 2.6663 2.8030 O
```

Main lines, low angle first (10° ≤ 2θ ≤ 80°):
- 13.73°, rel. 1000
- 25.07°, rel. 803
- 29.23°, rel. 882
- 29.82°, rel. 942
- 29.96°, rel. 805
- 36.10°, rel. 756



Entry 2:
The following is a calculated XRD peak list of RbTcSbO6. It was derived from the PBE geometry in Alexandria, using Cu Kα X-rays.
Neutral-atom scattering factors, no anomalous dispersion.

Cell and atoms:
```
RbTcSbO6
1.0
5.3918 0.0000 0.0000
-2.6959 4.6694 0.0000
0.0000 0.0000 6.2765
Rb Tc Sb O
1 1 1 6
Cartesian
0.0000 0.0000 0.0000 Rb
0.0000 3.1130 3.1382 Tc
2.6959 1.5565 3.1382 Sb
-1.0610 1.9610 4.2755 O
-1.5281 2.7701 2.0009 O
1.0610 1.9610 2.0009 O
-0.4671 4.6078 4.2755 O
1.5281 2.7701 4.2755 O
0.4671 4.6078 2.0009 O
```

Main lines, low angle first (10° ≤ 2θ ≤ 80°):
- 14.11°, rel. 429
- 23.75°, rel. 1000
- 33.23°, rel. 341
- 44.29°, rel. 480
- 53.97°, rel. 198
- 59.34°, rel. 207



Entry 3:
The following is a calculated XRD peak list of Rb2TcSbO6. It was derived from the PBE geometry in Alexandria, using Cu Kα X-rays.
Neutral-atom scattering factors, no anomalous dispersion.

Cell and atoms:
```
Rb2TcSbO6
1.0
-2.7964 2.7964 5.7269
2.7964 -2.7964 5.7269
2.7964 2.7964 -5.7269
Rb Tc Sb O
2 1 1 6
Cartesian
2.7964 0.0000 2.8634 Rb
0.0000 2.7964 2.8634 Rb
0.0000 0.0000 0.0000 Tc
0.0000 0.0000 5.7269 Sb
1.3006 1.3006 0.0000 O
1.4959 -1.4959 5.7269 O
0.0000 0.0000 3.8351 O
0.0000 0.0000 7.6187 O
-1.4959 1.4959 5.7269 O
1.4959 1.4959 5.7269 O
```

Main lines, low angle first (10° ≤ 2θ ≤ 80°):
- 27.41°, rel. 1000
- 31.24°, rel. 245
- 32.01°, rel. 304
- 45.89°, rel. 195
- 53.29°, rel. 191
- 54.28°, rel. 292



Entry 4:
The following is a calculated XRD peak list of Rb2ThSbO6. It was derived from the PBE geometry in Alexandria, using Cu Kα X-rays.
Neutral-atom scattering factors, no anomalous dispersion.

Cell and atoms:
```
Rb2ThSbO6
1.0
0.0000 4.3400 4.3400
4.3400 0.0000 4.3400
4.3400 4.3400 0.0000
Rb Th Sb O
2 1 1 6
Cartesian
2.1700 2.1700 2.1700 Rb
6.5099 6.5099 6.5099 Rb
0.0000 0.0000 0.0000 Th
4.3400 4.3400 4.3400 Sb
4.3400 4.3400 2.3135 O
4.3400 2.3135 4.3400 O
6.3664 4.3400 4.3400 O
2.3135 4.3400 4.3400 O
4.3400 6.3664 4.3400 O
4.3400 4.3400 6.3664 O
```

Main lines, low angle first (10° ≤ 2θ ≤ 80°):
- 20.46°, rel. 212
- 29.10°, rel. 1000
- 41.62°, rel. 301
- 51.58°, rel. 412
- 60.32°, rel. 190
- 68.35°, rel. 186



Entry 5:
The following is a calculated XRD peak list of RbTl2SbO4. It was derived from the PBE geometry in Alexandria, using Cu Kα X-rays.
Neutral-atom scattering factors, no anomalous dispersion.

Cell and atoms:
```
RbTl2SbO4
1.0
6.1882 0.0000 0.0000
3.0650 5.6621 0.0000
3.0677 1.0590 5.6284
Rb Tl Sb O
1 2 1 4
Cartesian
0.0000 0.0000 0.0000 Rb
3.0688 2.1541 1.3422 Tl
6.1250 2.8741 3.2891 Tl
9.2192 4.7234 4.3448 Sb
4.4503 3.6424 5.0740 O
7.5351 4.0749 5.0257 O
9.4565 6.5514 4.8327 O
9.2026 4.4692 2.4578 O
```

Main lines, low angle first (10° ≤ 2θ ≤ 80°):
- 15.93°, rel. 530
- 24.49°, rel. 453
- 27.63°, rel. 595
- 27.79°, rel. 1000
- 27.97°, rel. 385
- 28.86°, rel. 585



Entry 6:
The following is a calculated XRD peak list of Rb3TmSb2O9. It was derived from the PBE geometry in Alexandria, using Cu Kα X-rays.
Neutral-atom scattering factors, no anomalous dispersion.

Cell and atoms:
```
Rb3TmSb2O9
1.0
5.9322 0.0000 0.0000
-2.9661 5.1374 0.0000
0.0000 0.0000 7.2982
Rb Tm Sb O
3 1 2 9
Cartesian
0.0000 0.0000 0.0000 Rb
0.0000 3.4250 4.8447 Rb
2.9661 1.7125 2.4535 Rb
0.0000 0.0000 3.6491 Tm
0.0000 3.4250 1.1849 Sb
2.9661 1.7125 6.1133 Sb
-1.4830 2.5687 0.0000 O
0.0000 1.7968 2.3200 O
-1.4100 4.2390 2.3200 O
1.5561 0.8984 4.9782 O
2.9661 0.0000 0.0000 O
1.4830 2.5687 0.0000 O
1.4100 4.2390 2.3200 O
4.3761 0.8984 4.9782 O
2.9661 3.3406 4.9782 O
```

Main lines, low angle first (10° ≤ 2θ ≤ 80°):
- 21.15°, rel. 134
- 30.08°, rel. 1000
- 43.06°, rel. 316
- 53.28°, rel. 103
- 53.47°, rel. 299
- 62.43°, rel. 97